For ZnSe2O5, a structure optimized by DFT (GGA-PBE) gives the calculated X-ray diffraction stick pattern in this record (copper Kα).
Kinematic intensities with the Lorentz-polarization factor, no thermal factor.

Lattice parameters (Å, degrees): 6.920 10.612 6.184 90.00 90.00 90.00
Positions (direct):
Zn: 0.000 0.061 0.250
Zn: 0.000 0.939 0.750
Zn: 0.500 0.439 0.750
Zn: 0.500 0.561 0.250
Se: 0.136 0.345 0.035
Se: 0.136 0.655 0.535
Se: 0.364 0.155 0.535
Se: 0.364 0.845 0.035
Se: 0.636 0.155 0.965
Se: 0.636 0.845 0.465
Se: 0.864 0.345 0.465
Se: 0.864 0.655 0.965
O: 0.000 0.433 0.250
O: 0.000 0.567 0.750
O: 0.155 0.066 0.547
O: 0.155 0.934 0.047
O: 0.199 0.211 0.165
O: 0.199 0.789 0.665
O: 0.301 0.289 0.665
O: 0.301 0.711 0.165
O: 0.345 0.434 0.047
O: 0.345 0.566 0.547
O: 0.500 0.067 0.750
O: 0.500 0.933 0.250
O: 0.655 0.434 0.453
O: 0.655 0.566 0.953
O: 0.699 0.289 0.835
O: 0.699 0.711 0.335
O: 0.801 0.211 0.335
O: 0.801 0.789 0.835
O: 0.845 0.066 0.953
O: 0.845 0.934 0.453

Largest 12 diffraction maxima, by intensity, 2θ from 5° to 70°:
3.480 Å, 25.6 deg, rel. 100
2.903 Å, 30.8 deg, rel. 81
3.150 Å, 28.3 deg, rel. 41
4.229 Å, 21.0 deg, rel. 40
2.728 Å, 32.8 deg, rel. 29
1.736 Å, 52.7 deg, rel. 26
2.807 Å, 31.9 deg, rel. 21
1.510 Å, 61.4 deg, rel. 19
1.639 Å, 56.1 deg, rel. 18
2.823 Å, 31.7 deg, rel. 17
1.851 Å, 49.2 deg, rel. 15
1.921 Å, 47.3 deg, rel. 13



For ZrSeO, a structure optimized by DFT (GGA-PBE) gives the calculated X-ray diffraction stick pattern in this record (copper Kα).
Kinematic intensities with the Lorentz-polarization factor, no thermal factor.

Lattice parameters (Å, degrees): 3.705 3.705 6.699 90.00 90.00 90.00
Positions (direct):
Zr: 0.250 0.250 0.185
Zr: 0.750 0.750 0.815
Se: 0.250 0.250 0.628
Se: 0.750 0.750 0.372
O: 0.250 0.750 0.000
O: 0.750 0.250 0.000

Largest 12 diffraction maxima, by intensity, 2θ from 5° to 70°:
2.485 Å, 36.1 deg, rel. 100
2.620 Å, 34.2 deg, rel. 65
1.485 Å, 62.5 deg, rel. 39
1.853 Å, 49.2 deg, rel. 33
2.064 Å, 43.9 deg, rel. 18
1.913 Å, 47.5 deg, rel. 15
1.526 Å, 60.7 deg, rel. 10
3.242 Å, 27.5 deg, rel. 8
1.411 Å, 66.2 deg, rel. 7
3.350 Å, 26.6 deg, rel. 7
2.440 Å, 36.8 deg, rel. 5
1.621 Å, 56.8 deg, rel. 3



For ZrSeO, a structure optimized by DFT (GGA-PBE) gives the calculated X-ray diffraction stick pattern in this record (copper Kα).
Kinematic intensities with the Lorentz-polarization factor, no thermal factor.

Lattice parameters (Å, degrees): 5.887 5.887 5.887 90.00 90.00 90.00
Positions (direct):
Zr: 0.078 0.078 0.078
Zr: 0.422 0.922 0.578
Zr: 0.578 0.422 0.922
Zr: 0.922 0.578 0.422
Se: 0.159 0.659 0.841
Se: 0.341 0.341 0.341
Se: 0.659 0.841 0.159
Se: 0.841 0.159 0.659
O: 0.151 0.849 0.349
O: 0.349 0.151 0.849
O: 0.651 0.651 0.651
O: 0.849 0.349 0.151

Largest 12 diffraction maxima, by intensity, 2θ from 5° to 70°:
2.633 Å, 34.1 deg, rel. 100
2.404 Å, 37.4 deg, rel. 89
3.399 Å, 26.2 deg, rel. 55
1.573 Å, 58.7 deg, rel. 47
1.862 Å, 48.9 deg, rel. 30
1.428 Å, 65.4 deg, rel. 24
1.962 Å, 46.3 deg, rel. 23
1.633 Å, 56.3 deg, rel. 14
1.775 Å, 51.5 deg, rel. 10
1.351 Å, 69.6 deg, rel. 9
2.082 Å, 43.5 deg, rel. 9
1.472 Å, 63.2 deg, rel. 7



For SiO4, a structure optimized by DFT (GGA-PBE) gives the calculated X-ray diffraction stick pattern in this record (copper Kα).
Kinematic intensities with the Lorentz-polarization factor, no thermal factor.

Lattice parameters (Å, degrees): 4.996 5.083 10.745 100.11 92.52 119.35
Positions (direct):
Si: 0.000 0.000 0.000
Si: 0.151 0.390 0.349
Si: 0.771 0.450 0.459
O: 0.095 0.383 0.177
O: 0.117 0.690 0.413
O: 0.161 0.430 0.721
O: 0.163 0.432 0.834
O: 0.315 0.325 0.105
O: 0.460 0.375 0.365
O: 0.708 0.398 0.612
O: 0.765 0.698 0.593
O: 0.796 0.104 0.109
O: 0.829 0.145 0.393
O: 0.926 0.660 0.988
O: 0.985 0.060 0.855

Largest 12 diffraction maxima, by intensity, 2θ from 5° to 70°:
4.310 Å, 20.6 deg, rel. 100
4.349 Å, 20.4 deg, rel. 71
10.456 Å, 8.5 deg, rel. 42
4.116 Å, 21.6 deg, rel. 29
3.101 Å, 28.8 deg, rel. 26
5.228 Å, 17.0 deg, rel. 26
3.468 Å, 25.7 deg, rel. 21
4.211 Å, 21.1 deg, rel. 21
2.499 Å, 35.9 deg, rel. 16
3.485 Å, 25.6 deg, rel. 14
3.778 Å, 23.5 deg, rel. 14
3.222 Å, 27.7 deg, rel. 12



For Si4O9, a structure optimized by DFT (GGA-PBE) gives the calculated X-ray diffraction stick pattern in this record (copper Kα).
Kinematic intensities with the Lorentz-polarization factor, no thermal factor.

Lattice parameters (Å, degrees): 15.948 15.948 15.948 152.76 152.76 38.91
Positions (direct):
Si: 0.081 0.331 0.163
Si: 0.081 0.919 0.750
Si: 0.242 0.698 0.544
Si: 0.302 0.346 0.544
Si: 0.302 0.758 0.956
Si: 0.331 0.081 0.663
Si: 0.331 0.669 0.250
Si: 0.346 0.302 0.044
Si: 0.654 0.698 0.956
Si: 0.669 0.331 0.750
Si: 0.669 0.919 0.337
Si: 0.698 0.242 0.044
Si: 0.698 0.654 0.456
Si: 0.758 0.302 0.456
Si: 0.919 0.081 0.250
Si: 0.919 0.669 0.837
O: 0.129 0.137 0.991
O: 0.137 0.129 0.491
O: 0.137 0.646 0.009
O: 0.141 0.740 0.401
O: 0.155 0.346 0.337
O: 0.155 0.818 0.809
O: 0.160 0.260 0.901
O: 0.182 0.491 0.337
O: 0.182 0.845 0.691
O: 0.260 0.160 0.401
O: 0.260 0.859 0.099
O: 0.284 0.534 0.750
O: 0.346 0.155 0.837
O: 0.346 0.509 0.191
O: 0.354 0.863 0.491
O: 0.466 0.716 0.750
O: 0.491 0.182 0.837
O: 0.491 0.654 0.309
O: 0.509 0.346 0.691
O: 0.509 0.818 0.163
O: 0.534 0.284 0.250
O: 0.646 0.137 0.509
O: 0.654 0.491 0.809
O: 0.654 0.845 0.163
O: 0.716 0.466 0.250
O: 0.740 0.141 0.901
O: 0.740 0.840 0.599
O: 0.818 0.155 0.309
O: 0.818 0.509 0.663
O: 0.840 0.740 0.099
O: 0.845 0.182 0.191
O: 0.845 0.654 0.663
O: 0.859 0.260 0.599
O: 0.863 0.354 0.991
O: 0.863 0.871 0.509
O: 0.871 0.863 0.009

Largest 12 diffraction maxima, by intensity, 2θ from 5° to 70°:
3.360 Å, 26.5 deg, rel. 100
4.695 Å, 18.9 deg, rel. 90
3.644 Å, 24.4 deg, rel. 80
7.519 Å, 11.8 deg, rel. 78
3.730 Å, 23.9 deg, rel. 76
3.756 Å, 23.7 deg, rel. 37
2.933 Å, 30.5 deg, rel. 29
2.004 Å, 45.3 deg, rel. 28
2.121 Å, 42.6 deg, rel. 24
1.878 Å, 48.5 deg, rel. 19
6.012 Å, 14.7 deg, rel. 18
5.009 Å, 17.7 deg, rel. 15



For SiO4, a structure optimized by DFT (GGA-PBE) gives the calculated X-ray diffraction stick pattern in this record (copper Kα).
Kinematic intensities with the Lorentz-polarization factor, no thermal factor.

Lattice parameters (Å, degrees): 4.996 5.083 10.745 100.11 92.52 119.35
Positions (direct):
Si: 0.000 0.000 0.000
Si: 0.198 0.959 0.651
Si: 0.510 0.949 0.110
O: 0.117 0.166 0.827
O: 0.136 0.631 0.639
O: 0.293 0.969 0.016
O: 0.294 0.745 0.263
O: 0.328 0.164 0.505
O: 0.370 0.064 0.244
O: 0.409 0.179 0.755
O: 0.527 0.557 0.485
O: 0.634 0.711 0.044
O: 0.638 0.668 0.371
O: 0.885 0.953 0.760
O: 0.902 0.235 0.064

Largest 12 diffraction maxima, by intensity, 2θ from 5° to 70°:
4.312 Å, 20.6 deg, rel. 100
3.782 Å, 23.5 deg, rel. 57
10.456 Å, 8.5 deg, rel. 52
3.704 Å, 24.0 deg, rel. 40
4.116 Å, 21.6 deg, rel. 36
5.228 Å, 17.0 deg, rel. 32
4.344 Å, 20.4 deg, rel. 27
3.468 Å, 25.7 deg, rel. 26
3.073 Å, 29.1 deg, rel. 18
2.528 Å, 35.5 deg, rel. 17
3.485 Å, 25.6 deg, rel. 17
2.498 Å, 36.0 deg, rel. 16